Record 1
# Ag3PS3
Computed powder X-ray diffraction pattern, copper Kα. Input: a PBE-relaxed structure.

Structure:
Unit cell a=7.7621 b=7.7621 c=5.6853 alpha=90.00 beta=90.00 gamma=120.00
Space group P6_3/mmc (No. 194)
Symmetry-distinct sites (fractional):
Ag: 0.2136 0.4271 0.2500 x6
P: 0.3333 0.6667 0.7500 x2
S: 0.1811 0.3622 0.7500 x6

Most intense lines, 2θ = 10–80°, low angle first:
| 2θ/deg | I (rel.) |
| --- | --- |
| 20.5 | 85 |
| 26.5 | 85 |
| 30.9 | 49 |
| 31.5 | 100 |
| 35.3 | 94 |
| 41.6 | 47 |
| 43.4 | 69 |
| 48.0 | 75 |

Record 2
# Ba5Tl2Au
Computed powder X-ray diffraction pattern, copper Kα. Input: a PBE-relaxed structure.

Structure:
Unit cell a=7.900 b=14.483 c=5.911 alpha=90.00 beta=90.00 gamma=90.00
Space group Pbam (No. 55)
Symmetry-distinct sites (fractional):
Ba: 0.000 0.000 0.000 x2
Ba: 0.140 0.291 0.000 x4
Ba: 0.164 0.600 0.500 x4
Tl: 0.110 0.857 0.500 x4
Au: 0.000 0.500 0.000 x2

Most intense lines, 2θ = 10–80°, low angle first:
| 2θ/deg | I (rel.) |
| --- | --- |
| 27.1 | 31 |
| 27.9 | 98 |
| 28.9 | 100 |
| 29.2 | 30 |
| 29.9 | 31 |
| 30.2 | 65 |
| 42.5 | 22 |
| 52.9 | 21 |

Record 3
# NaIBr5
Computed powder X-ray diffraction pattern, copper Kα. Input: a PBE-relaxed structure.

Structure:
Unit cell a=10.353 b=10.342 c=10.598 alpha=90.00 beta=109.22 gamma=90.00
Space group C2/c (No. 15)
Symmetry-distinct sites (fractional):
Na: 0.000 0.041 0.250 x4
I: 0.250 0.250 0.000 x4
Br: 0.000 0.249 0.750 x4
Br: 0.087 0.294 0.149 x8
Br: 0.214 0.006 0.519 x8

Most intense lines, 2θ = 10–80°, low angle first:
| 2θ/deg | I (rel.) |
| --- | --- |
| 13.4 | 75 |
| 16.9 | 100 |
| 20.8 | 45 |
| 29.4 | 99 |
| 32.6 | 58 |
| 34.7 | 43 |
| 41.1 | 37 |
| 46.1 | 44 |

Record 4
# Sr2Al4Hg3Ge
Computed powder X-ray diffraction pattern, copper Kα. Input: a PBE-relaxed structure.

Structure:
Unit cell a=4.580 b=4.580 c=11.259 alpha=90.00 beta=90.00 gamma=90.00
Space group P-4m2 (No. 115)
Symmetry-distinct sites (fractional):
Sr: 0.000 0.500 0.244 x2
Al: 0.000 0.000 0.500 x1
Al: 0.000 0.500 0.873 x2
Al: 0.500 0.500 0.500 x1
Hg: 0.000 0.000 0.000 x1
Hg: 0.000 0.500 0.639 x2
Ge: 0.500 0.500 0.000 x1

Most intense lines, 2θ = 10–80°, low angle first:
| 2θ/deg | I (rel.) |
| --- | --- |
| 23.7 | 39 |
| 25.1 | 76 |
| 28.7 | 73 |
| 30.8 | 61 |
| 31.9 | 100 |
| 39.3 | 78 |
| 42.6 | 48 |
| 44.9 | 43 |

Record 5
# TbCe3Ni8
Computed powder X-ray diffraction pattern, copper Kα. Input: a PBE-relaxed structure.

Structure:
Unit cell a=5.0519 b=5.0519 c=8.4245 alpha=90.00 beta=90.00 gamma=120.00
Space group P3m1 (No. 156)
Symmetry-distinct sites (fractional):
Tb: 0.0000 0.0000 0.0000 x1
Ce: 0.0000 0.0000 0.3788 x1
Ce: 0.6667 0.3333 0.4871 x1
Ce: 0.6667 0.3333 0.8714 x1
Ni: 0.0075 0.5037 0.1853 x3
Ni: 0.1695 0.3389 0.6884 x3
Ni: 0.3333 0.6667 0.4406 x1
Ni: 0.3333 0.6667 0.9363 x1

Most intense lines, 2θ = 10–80°, low angle first:
| 2θ/deg | I (rel.) |
| --- | --- |
| 35.5 | 56 |
| 38.1 | 86 |
| 41.7 | 100 |
| 42.7 | 54 |
| 65.5 | 36 |
| 68.0 | 22 |
| 70.6 | 28 |
| 75.2 | 21 |

Record 6
# H4Pd7Au
Computed powder X-ray diffraction pattern, copper Kα. Input: a PBE-relaxed structure.

Structure:
Unit cell a=11.654 b=4.984 c=4.827 alpha=90.00 beta=90.00 gamma=90.00
Space group Pmn2_1 (No. 31)
Symmetry-distinct sites (fractional):
H: 0.124 0.164 0.000 x4
H: 0.250 0.324 0.493 x4
Pd: 0.000 0.339 0.859 x2
Pd: 0.120 0.163 0.374 x4
Pd: 0.121 0.826 0.858 x4
Pd: 0.245 0.675 0.371 x4
Au: 0.000 0.665 0.362 x2

Most intense lines, 2θ = 10–80°, low angle first:
| 2θ/deg | I (rel.) |
| --- | --- |
| 35.7 | 23 |
| 37.3 | 42 |
| 40.4 | 100 |
| 40.7 | 47 |
| 52.5 | 15 |
| 64.6 | 16 |
| 69.3 | 20 |
| 77.0 | 19 |

Record 7
# Rb2LiHF6
Computed powder X-ray diffraction pattern, copper Kα. Input: a PBE-relaxed structure.

Structure:
Unit cell a=5.473 b=5.473 c=9.869 alpha=90.00 beta=90.00 gamma=90.00
Space group I4/mmm (No. 139)
Symmetry-distinct sites (fractional):
Rb: 0.000 0.500 0.250 x4
Li: 0.000 0.000 0.000 x2
H: 0.000 0.000 0.500 x2
F: 0.000 0.000 0.186 x4
F: 0.200 0.200 0.500 x8

Most intense lines, 2θ = 10–80°, low angle first:
| 2θ/deg | I (rel.) |
| --- | --- |
| 18.0 | 30 |
| 23.0 | 37 |
| 29.3 | 76 |
| 32.7 | 27 |
| 36.4 | 27 |
| 37.6 | 100 |
| 43.5 | 26 |
| 47.0 | 28 |

Record 8
# NaInPbCl4
Computed powder X-ray diffraction pattern, copper Kα. Input: a PBE-relaxed structure.

Structure:
Unit cell a=7.742 b=7.788 c=8.461 alpha=90.00 beta=106.53 gamma=90.00
Space group P2_1/m (No. 11)
Symmetry-distinct sites (fractional):
Na: 0.212 0.250 0.181 x2
In: 0.287 0.750 0.455 x2
Pb: 0.325 0.750 0.962 x2
Cl: 0.039 0.750 0.660 x2
Cl: 0.040 0.750 0.111 x2
Cl: 0.476 0.010 0.215 x4

Most intense lines, 2θ = 10–80°, low angle first:
| 2θ/deg | I (rel.) |
| --- | --- |
| 10.9 | 21 |
| 11.9 | 16 |
| 16.5 | 100 |
| 22.8 | 34 |
| 29.9 | 41 |
| 30.2 | 44 |
| 31.8 | 47 |
| 36.7 | 15 |

Record 9
# Tc6C7
Computed powder X-ray diffraction pattern, copper Kα. Input: a PBE-relaxed structure.

Structure:
Unit cell a=4.2987 b=4.2987 c=25.4199 alpha=90.00 beta=90.00 gamma=120.00
Space group R-3m (No. 166, hexagonal axes)
Symmetry-distinct sites (fractional):
Tc: 0.0000 0.0000 0.0834 x6
Tc: 0.0000 0.0000 0.1982 x6
Tc: 0.0000 0.0000 0.3070 x6
C: 0.0000 0.0000 0.5000 x3
C: 0.0923 0.5461 0.0769 x18

Most intense lines, 2θ = 10–80°, low angle first:
| 2θ/deg | I (rel.) |
| --- | --- |
| 24.9 | 41 |
| 37.2 | 79 |
| 42.0 | 100 |
| 43.1 | 66 |
| 57.4 | 25 |
| 61.8 | 21 |
| 73.6 | 19 |
| 77.5 | 18 |

Record 10
# Pr3GeP2Pd9
Computed powder X-ray diffraction pattern, copper Kα. Input: a PBE-relaxed structure.

Structure:
Unit cell a=6.3882 b=6.3882 c=8.5922 alpha=90.00 beta=90.00 gamma=120.00
Space group P-3m1 (No. 164)
Symmetry-distinct sites (fractional):
Pr: 0.0000 0.0000 0.0000 x1
Pr: 0.3333 0.6667 0.6405 x2
Ge: 0.0000 0.0000 0.5000 x1
P: 0.3333 0.6667 0.1694 x2
Pd: 0.0000 0.5000 0.0000 x3
Pd: 0.1519 0.3038 0.2901 x6

Most intense lines, 2θ = 10–80°, low angle first:
| 2θ/deg | I (rel.) |
| --- | --- |
| 26.3 | 12 |
| 31.2 | 30 |
| 34.0 | 100 |
| 38.7 | 98 |
| 54.1 | 24 |
| 57.7 | 31 |
| 67.1 | 18 |
| 71.7 | 15 |